# 1
Diffraction record for Rb3CeNb2O8. The X-ray diffraction stick pattern is computed, not measured: it uses DFT lattice parameters and positions (PBE) and Cu Ka.
Lines closer than 0.1° are merged.

Principal peaks in the range 2θ = 5–70°, low angle first:
10.9 deg, d = 8.124 Å, I = 12; 19.4 deg, d = 4.578 Å, I = 9; 27.2 deg, d = 3.276 Å, I = 84; 27.9 deg, d = 3.200 Å, I = 100; 39.4 deg, d = 2.289 Å, I = 44; 48.9 deg, d = 1.862 Å, I = 33; 49.3 deg, d = 1.847 Å, I = 20; 53.4 deg, d = 1.715 Å, I = 18; 57.6 deg, d = 1.600 Å, I = 18; 64.9 deg, d = 1.438 Å, I = 15

Structural model:
```
Rb3CeNb2O8
1.0
6.399 0.000 0.000
-3.200 5.542 0.000
0.000 0.000 8.124
Rb Ce Nb O
3 1 2 8
Direct
0.000 0.000 0.000 Rb
0.333 0.667 0.688 Rb
0.667 0.333 0.312 Rb
0.000 0.000 0.500 Ce
0.333 0.667 0.241 Nb
0.667 0.333 0.759 Nb
0.173 0.345 0.323 O
0.173 0.827 0.323 O
0.333 0.667 0.017 O
0.345 0.173 0.677 O
0.655 0.827 0.323 O
0.667 0.333 0.983 O
0.827 0.173 0.677 O
0.827 0.655 0.677 O
```


# 2
Diffraction record for CeNbTlO5. The X-ray diffraction stick pattern is computed, not measured: it uses DFT lattice parameters and positions (PBE) and Cu Ka.
Lines closer than 0.1° are merged.

Principal peaks in the range 2θ = 5–70°, low angle first:
23.5 deg, d = 3.793 Å, I = 76; 25.0 deg, d = 3.566 Å, I = 84; 28.6 deg, d = 3.119 Å, I = 100; 29.5 deg, d = 3.024 Å, I = 59; 31.6 deg, d = 2.835 Å, I = 37; 45.5 deg, d = 1.994 Å, I = 22; 46.3 deg, d = 1.961 Å, I = 31; 49.2 deg, d = 1.853 Å, I = 22; 52.5 deg, d = 1.744 Å, I = 22; 54.7 deg, d = 1.679 Å, I = 23

Structural model:
```
CeNbTlO5
1.0
3.931 -5.202 0.000
3.931 5.202 0.000
-3.452 0.000 7.433
Ce Nb Tl O
2 2 2 10
Direct
0.000 0.000 0.000 Ce
0.000 0.000 0.500 Ce
0.314 0.686 0.750 Nb
0.686 0.314 0.250 Nb
0.319 0.681 0.250 Tl
0.681 0.319 0.750 Tl
0.061 0.939 0.250 O
0.123 0.706 0.889 O
0.226 0.385 0.600 O
0.294 0.877 0.611 O
0.385 0.226 0.100 O
0.615 0.774 0.900 O
0.706 0.123 0.389 O
0.774 0.615 0.400 O
0.877 0.294 0.111 O
0.939 0.061 0.750 O
```


# 3
Diffraction record for CeNb4S8. The X-ray diffraction stick pattern is computed, not measured: it uses DFT lattice parameters and positions (PBE) and Cu Ka.
Lines closer than 0.1° are merged.

Principal peaks in the range 2θ = 5–70°, low angle first:
13.0 deg, d = 6.823 Å, I = 100; 16.4 deg, d = 5.415 Å, I = 54; 29.9 deg, d = 2.993 Å, I = 45; 32.2 deg, d = 2.779 Å, I = 19; 33.1 deg, d = 2.707 Å, I = 45; 39.0 deg, d = 2.311 Å, I = 37; 39.4 deg, d = 2.289 Å, I = 38; 40.8 deg, d = 2.213 Å, I = 57; 41.8 deg, d = 2.162 Å, I = 23; 53.5 deg, d = 1.713 Å, I = 27

Structural model:
```
CeNb4S8
1.0
5.920 -3.472 0.000
5.920 3.472 0.000
-5.460 0.000 6.823
Ce Nb S
1 4 8
Direct
0.000 0.000 0.000 Ce
0.276 0.276 0.508 Nb
0.296 0.704 0.500 Nb
0.704 0.296 0.500 Nb
0.724 0.724 0.492 Nb
0.002 0.002 0.685 S
0.023 0.520 0.728 S
0.460 0.460 0.238 S
0.480 0.977 0.272 S
0.520 0.023 0.728 S
0.540 0.540 0.762 S
0.977 0.480 0.272 S
0.998 0.998 0.315 S
```


# 4
Diffraction record for CeScNb. The X-ray diffraction stick pattern is computed, not measured: it uses DFT lattice parameters and positions (PBE) and Cu Ka.
Lines closer than 0.1° are merged.

Principal peaks in the range 2θ = 5–70°, low angle first:
19.7 deg, d = 4.515 Å, I = 19; 20.7 deg, d = 4.285 Å, I = 26; 29.0 deg, d = 3.078 Å, I = 41; 35.0 deg, d = 2.560 Å, I = 100; 35.3 deg, d = 2.543 Å, I = 35; 35.9 deg, d = 2.500 Å, I = 64; 36.9 deg, d = 2.434 Å, I = 46; 46.1 deg, d = 1.968 Å, I = 50; 47.6 deg, d = 1.909 Å, I = 21; 52.0 deg, d = 1.758 Å, I = 23

Structural model:
```
CeScNb
1.0
4.868 0.000 0.000
0.000 3.078 0.000
0.000 0.000 9.031
Ce Sc Nb
2 2 2
Direct
0.250 0.000 0.082 Ce
0.750 0.000 0.918 Ce
0.250 0.500 0.717 Sc
0.750 0.500 0.283 Sc
0.250 0.000 0.420 Nb
0.750 0.000 0.580 Nb
```


# 5
Diffraction record for CeZrNb4. The X-ray diffraction stick pattern is computed, not measured: it uses DFT lattice parameters and positions (PBE) and Cu Ka.
Lines closer than 0.1° are merged.

Principal peaks in the range 2θ = 5–70°, low angle first:
19.3 deg, d = 4.607 Å, I = 3; 22.3 deg, d = 3.989 Å, I = 1; 31.7 deg, d = 2.821 Å, I = 33; 37.4 deg, d = 2.406 Å, I = 100; 39.1 deg, d = 2.303 Å, I = 34; 45.5 deg, d = 1.995 Å, I = 2; 51.2 deg, d = 1.784 Å, I = 1; 56.5 deg, d = 1.629 Å, I = 13; 60.3 deg, d = 1.536 Å, I = 32; 66.3 deg, d = 1.410 Å, I = 27

Structural model:
```
CeZrNb4
1.0
0.000 3.989 3.989
3.989 0.000 3.989
3.989 3.989 0.000
Ce Zr Nb
1 1 4
Direct
0.000 0.000 0.000 Ce
0.750 0.750 0.750 Zr
0.375 0.375 0.375 Nb
0.375 0.375 0.875 Nb
0.375 0.875 0.375 Nb
0.875 0.375 0.375 Nb
```


# 6
Diffraction record for CeNd. The X-ray diffraction stick pattern is computed, not measured: it uses DFT lattice parameters and positions (PBE) and Cu Ka.
Lines closer than 0.1° are merged.

Principal peaks in the range 2θ = 5–70°, low angle first:
30.7 deg, d = 2.910 Å, I = 100; 31.2 deg, d = 2.870 Å, I = 99; 35.6 deg, d = 2.522 Å, I = 67; 36.4 deg, d = 2.466 Å, I = 33; 51.8 deg, d = 1.764 Å, I = 58; 60.7 deg, d = 1.526 Å, I = 26; 61.4 deg, d = 1.509 Å, I = 28; 62.1 deg, d = 1.496 Å, I = 13; 62.3 deg, d = 1.490 Å, I = 14; 65.0 deg, d = 1.435 Å, I = 12

Structural model:
```
CeNd
1.0
3.530 0.000 0.000
0.000 4.931 0.000
0.000 0.000 7.210
Ce Nd
2 2
Direct
0.250 0.250 0.109 Ce
0.750 0.750 0.891 Ce
0.250 0.250 0.634 Nd
0.750 0.750 0.366 Nd
```


# 7
Diffraction record for CeNd. The X-ray diffraction stick pattern is computed, not measured: it uses DFT lattice parameters and positions (PBE) and Cu Ka.
Lines closer than 0.1° are merged.

Principal peaks in the range 2θ = 5–70°, low angle first:
31.2 deg, d = 2.871 Å, I = 100; 44.6 deg, d = 2.030 Å, I = 19; 55.4 deg, d = 1.657 Å, I = 39; 65.0 deg, d = 1.435 Å, I = 12

Structural model:
```
CeNd
1.0
4.060 0.000 0.000
0.000 4.060 0.000
0.000 0.000 4.060
Ce Nd
1 1
Direct
0.000 0.000 0.000 Ce
0.500 0.500 0.500 Nd
```


# 8
Diffraction record for Ce6Nd. The X-ray diffraction stick pattern is computed, not measured: it uses DFT lattice parameters and positions (PBE) and Cu Ka.
Lines closer than 0.1° are merged.

Principal peaks in the range 2θ = 5–70°, low angle first:
16.4 deg, d = 5.397 Å, I = 19; 23.3 deg, d = 3.816 Å, I = 42; 28.6 deg, d = 3.116 Å, I = 100; 41.0 deg, d = 2.203 Å, I = 34; 44.4 deg, d = 2.040 Å, I = 61; 47.7 deg, d = 1.908 Å, I = 33; 53.7 deg, d = 1.707 Å, I = 17; 56.6 deg, d = 1.627 Å, I = 15; 67.2 deg, d = 1.394 Å, I = 18; 69.7 deg, d = 1.349 Å, I = 21

Structural model:
```
Ce6Nd
1.0
7.633 0.000 0.000
0.000 7.633 0.000
0.000 0.000 7.633
Ce Nd
12 2
Direct
0.000 0.250 0.500 Ce
0.000 0.500 0.250 Ce
0.000 0.500 0.750 Ce
0.000 0.750 0.500 Ce
0.250 0.000 0.500 Ce
0.250 0.500 0.000 Ce
0.500 0.000 0.250 Ce
0.500 0.000 0.750 Ce
0.500 0.250 0.000 Ce
0.500 0.750 0.000 Ce
0.750 0.000 0.500 Ce
0.750 0.500 0.000 Ce
0.000 0.000 0.000 Nd
0.500 0.500 0.500 Nd
```